# 1
Starting from a crystal structure in Alexandria, relaxed with PBE, the powder diffraction line list of Na2CdSb3Pt4 was simulated for Cu Kα (λ = 1.5418 Å).
Intensities are scaled so that the largest is 100.

Top 8 peaks for 2θ = 15–90°, most intense first:
| two_theta | Rel. int. | (hkl) |
| --- | --- | --- |
| 44.21 | 100 | 1 1 4 |
| 38.25 | 88 | 2 0 0 |
| 31.93 | 79 | 1 1 2 |
| 20.72 | 79 | 1 0 1 |
| 17.06 | 61 | 0 0 2 |
| 73.29 | 45 | 3 1 4 |
| 32.07 | 39 | 1 0 3 |
| 55.20 | 30 | 2 2 0 |

Cell and atoms:
```
data_Na2CdSb3Pt4
_cell_length_a 4.7064
_cell_length_b 4.7064
_cell_length_c 10.3975
_cell_angle_alpha 90.00
_cell_angle_beta 90.00
_cell_angle_gamma 90.00
_symmetry_space_group_name_H-M 'P -4 m 2'
_symmetry_Int_Tables_number 115
loop_
_symmetry_equiv_pos_as_xyz
'x,y,z'
'y,-x,-z'
'-x,-y,z'
'-y,x,-z'
'-x,y,z'
'-y,-x,-z'
'x,-y,z'
'y,x,-z'
loop_
_atom_site_label
_atom_site_type_symbol
_atom_site_fract_x
_atom_site_fract_y
_atom_site_fract_z
Na1 Na 0.0000 0.5000 0.2415
Cd1 Cd 0.0000 0.0000 0.5000
Sb1 Sb 0.0000 0.5000 0.8764
Sb2 Sb 0.5000 0.5000 0.5000
Pt1 Pt 0.0000 0.0000 0.0000
Pt2 Pt 0.0000 0.5000 0.6282
Pt3 Pt 0.5000 0.5000 0.0000
```

***

# 2
Starting from a crystal structure in Alexandria, relaxed with PBE, the powder diffraction line list of CsCuCl4 was simulated for Cu Kα (λ = 1.5418 Å).
Intensities are scaled so that the largest is 100.

Top 8 peaks for 2θ = 15–90°, most intense first:
| two_theta | Rel. int. | (hkl) |
| --- | --- | --- |
| 18.81 | 100 | 1 1 -1 |
| 29.89 | 58 | 1 1 -3 |
| 20.21 | 40 | 0 0 2 |
| 34.85 | 33 | 0 2 2 |
| 28.52 | 26 | 2 0 0 |
| 41.64 | 24 | 3 1 -1 |
| 31.59 | 20 | 1 2 0 |
| 25.44 | 20 | 1 1 1 |

Cell and atoms:
```
data_CsCuCl4
_cell_length_a 7.2443
_cell_length_b 6.3521
_cell_length_c 10.1728
_cell_angle_alpha 90.00
_cell_angle_beta 120.23
_cell_angle_gamma 90.00
_symmetry_space_group_name_H-M 'P 1 21/c 1'
_symmetry_Int_Tables_number 14
loop_
_symmetry_equiv_pos_as_xyz
'x,y,z'
'-x,-y,-z'
'-x,y+1/2,-z+1/2'
'x,-y+1/2,z+1/2'
loop_
_atom_site_label
_atom_site_type_symbol
_atom_site_fract_x
_atom_site_fract_y
_atom_site_fract_z
Cs1 Cs 0.0000 0.0000 0.0000
Cu1 Cu 0.5000 0.0000 0.5000
Cl1 Cl 0.1546 0.0090 0.4016
Cl2 Cl 0.4630 0.7485 0.3423
```